TaAg2As: simulated X-ray powder pattern (Cu Kα, 1.54184 Å), based on DFT lattice parameters and positions (GGA-PBE).

Largest 12 diffraction maxima, in order of rising 2θ, 2θ = 5–70°:
| d [Å] | 2θ (°) | I_rel | index |
| --- | --- | --- | --- |
| 6.419 | 13.8 | 10.0 | 0 0 1 |
| 3.365 | 26.5 | 6.4 | 1 0 0 |
| 3.210 | 27.8 | 6.7 | 0 0 2 |
| 2.981 | 30.0 | 5.3 | 1 0 1 |
| 2.380 | 37.8 | 58.7 | 1 1 0 |
| 2.323 | 38.8 | 100.0 | 1 0 2 |
| 2.231 | 40.4 | 3.0 | 1 1 1 |
| 1.912 | 47.6 | 6.3 | 1 1 2 |
| 1.683 | 54.5 | 19.9 | 2 0 0 |
| 1.605 | 57.4 | 5.9 | 0 0 4 |
| 1.449 | 64.3 | 5.9 | 1 0 4 |
| 1.363 | 68.9 | 35.4 | 2 1 2 |

Cell and atoms:
a = 3.3654 Å, b = 3.3654 Å, c = 6.4191 Å
α = 90.00°, β = 90.00°, γ = 90.00°
Fractional positions:
1 Ta 0.0000 0.0000 0.0000
2 Ag 0.0000 0.0000 0.5170
3 Ag 0.5000 0.5000 0.2787
4 As 0.5000 0.5000 0.8197